Diffraction record for Nd2NpNi3Pt12. The powder XRD pattern is theoretical, not measured: it uses DFT lattice parameters and positions (PBE) and a wavelength of 1.5418 Å.
No peak broadening, texture or thermal motion is included.

Main lines, in order of rising 2θ (2θ = 10–90°):
21.8°, I = 23
25.9°, I = 18
31.4°, I = 100
44.5°, I = 73
45.3°, I = 72
56.2°, I = 19
65.4°, I = 22
73.8°, I = 14
75.0°, I = 15
81.4°, I = 11
83.2°, I = 23
83.8°, I = 13

Cell and atoms:
```
data_Nd2NpNi3Pt12
_cell_length_a 7.9994
_cell_length_b 7.9994
_cell_length_c 20.1144
_cell_angle_alpha 90.00
_cell_angle_beta 90.00
_cell_angle_gamma 120.00
_symmetry_space_group_name_H-M 'R -3 m'
_symmetry_Int_Tables_number 166
_symmetry_space_group_name_Hall '-R 3 2"'
loop_
_atom_site_label
_atom_site_fract_x
_atom_site_fract_y
_atom_site_fract_z
Nd1 0.0000 0.0000 0.1133
Np1 0.0000 0.0000 0.5000
Ni1 0.0000 0.5000 0.0000
Pt1 0.0016 0.5008 0.3702
Pt2 0.0201 0.5101 0.8780
```